Record 1
For PrCr4, DFT lattice parameters and positions (GGA-PBE) gives the theoretical X-ray diffraction stick pattern in this record (Cu Ka).

Structure:
abc: 5.0219 5.0219 5.0219
angles: 90.00 90.00 90.00
Sites, in units of the cell vectors:
Pr1 0.0000 0.0000 0.0000
Cr1 0.0000 0.0000 0.5000
Cr2 0.0000 0.5000 0.0000
Cr3 0.5000 0.0000 0.0000
Cr4 0.5000 0.5000 0.5000

Principal peaks in the range 2θ from 10° to 80°, in order of falling intensity:
Position (°2θ)	d/Å	I (rel.)
35.76	2.511	100
17.66	5.022	92
25.08	3.551	79
51.47	1.776	66
40.15	2.246	46
44.18	2.050	35
54.84	1.674	23
64.25	1.450	22
70.11	1.342	18
58.08	1.588	15
78.54	1.218	13
67.21	1.393	10

***

Record 2
For CrPt, DFT lattice parameters and positions (GGA-PBE) gives the theoretical X-ray diffraction stick pattern in this record (Cu Ka).

Structure:
abc: 4.6682 4.2668 5.4549
angles: 90.00 90.00 90.00
Sites, in units of the cell vectors:
Cr1 0.0719 0.2500 0.1234
Cr2 0.4281 0.7500 0.6234
Cr3 0.5719 0.2500 0.3766
Cr4 0.9281 0.7500 0.8766
Pt1 0.0881 0.2500 0.6258
Pt2 0.4119 0.7500 0.1258
Pt3 0.5881 0.2500 0.8742
Pt4 0.9119 0.7500 0.3742

Principal peaks in the range 2θ from 10° to 80°, in order of falling intensity:
Position (°2θ)	d/Å	I (rel.)
43.91	2.062	100
44.23	2.048	50
26.52	3.361	41
42.37	2.133	37
25.11	3.547	31
38.22	2.355	26
78.58	1.217	18
69.55	1.352	17
58.36	1.581	15
32.84	2.727	14
38.57	2.334	11
42.11	2.146	11

***

Record 3
For CrPt7, DFT lattice parameters and positions (GGA-PBE) gives the theoretical X-ray diffraction stick pattern in this record (Cu Ka).

Structure:
abc: 5.5869 5.5869 5.5869
angles: 60.00 60.00 60.00
Sites, in units of the cell vectors:
Cr1 0.0000 0.0000 0.0000
Pt1 0.0000 0.0000 0.5000
Pt2 0.0000 0.5000 0.0000
Pt3 0.0000 0.5000 0.5000
Pt4 0.5000 0.0000 0.0000
Pt5 0.5000 0.0000 0.5000
Pt6 0.5000 0.5000 0.0000
Pt7 0.5000 0.5000 0.5000

Principal peaks in the range 2θ from 10° to 80°, in order of falling intensity:
Position (°2θ)	d/Å	I (rel.)
39.51	2.281	100
45.94	1.975	49
67.00	1.397	32
19.46	4.562	6
37.76	2.382	3
22.51	3.951	3
32.04	2.793	3
50.34	1.813	2
51.74	1.767	1
60.93	1.521	1
70.51	1.336	1
57.11	1.613	1

***

Record 4
For CrRePt, DFT lattice parameters and positions (GGA-PBE) gives the theoretical X-ray diffraction stick pattern in this record (Cu Ka).

Structure:
abc: 2.6502 3.8848 8.2454
angles: 90.00 90.00 90.00
Sites, in units of the cell vectors:
Cr1 0.0000 0.0000 0.0000
Cr2 0.5000 0.5000 0.5000
Re1 0.0000 0.0000 0.3464
Re2 0.5000 0.5000 0.8464
Pt1 0.0000 0.0000 0.6705
Pt2 0.5000 0.5000 0.1705

Principal peaks in the range 2θ from 10° to 80°, in order of falling intensity:
Position (°2θ)	d/Å	I (rel.)
40.19	2.244	100
41.24	2.189	94
47.67	1.908	61
69.00	1.361	40
25.34	3.514	37
46.77	1.942	33
21.55	4.123	17
35.58	2.523	16
68.25	1.374	10
61.82	1.501	10
46.99	1.934	10
71.15	1.325	9